No. 1
Computed X-ray diffraction stick pattern
Compound: Li3GaB2O6
Radiation: Cu Kα (λ = 1.5418 Å)
Structure: a GGA-PBE-relaxed structure
Intensities are scaled so that the largest is 100.

Principal peaks in the range 2θ from 15° to 90°, in order of rising 2θ:
- 15.40 deg, I 57.2
- 17.83 deg, I 41.2
- 21.36 deg, I 51.0
- 22.86 deg, I 35.5
- 23.23 deg, I 66.6
- 23.78 deg, I 61.6
- 27.44 deg, I 34.8
- 29.24 deg, I 49.9
- 31.10 deg, I 100.0
- 35.47 deg, I 39.3

Crystal structure
Cell lengths 4.975, 6.528, 8.090 Å; angles 72.90, 89.19, 89.68 degrees
Fractional coordinates of all 24 atoms:
Li 0.148 0.469 0.231
Li 0.159 0.252 0.614
Li 0.337 0.397 0.924
Li 0.663 0.603 0.076
Li 0.841 0.748 0.386
Li 0.852 0.531 0.769
Ga 0.360 0.047 0.279
Ga 0.640 0.953 0.721
B 0.157 0.818 0.903
B 0.344 0.678 0.572
B 0.656 0.322 0.428
B 0.843 0.182 0.097
O 0.125 0.192 0.109
O 0.216 0.511 0.684
O 0.220 0.793 0.419
O 0.288 0.660 0.020
O 0.289 0.991 0.785
O 0.392 0.259 0.398
O 0.608 0.741 0.602
O 0.711 0.009 0.215
O 0.712 0.340 0.980
O 0.780 0.207 0.581
O 0.784 0.489 0.316
O 0.875 0.808 0.891



No. 2
Computed X-ray diffraction stick pattern
Compound: Mg2GeO4
Radiation: Cu Kα (λ = 1.5418 Å)
Structure: a GGA-PBE-relaxed structure
Intensities are scaled so that the largest is 100.

Principal peaks in the range 2θ from 15° to 90°, in order of rising 2θ:
- 16.98 deg, I 21.7
- 19.78 deg, I 35.4
- 22.41 deg, I 100.0
- 29.27 deg, I 30.7
- 31.38 deg, I 25.8
- 34.73 deg, I 95.2
- 35.58 deg, I 88.3
- 40.13 deg, I 28.5
- 55.49 deg, I 24.5
- 61.32 deg, I 29.6

Crystal structure
Cell lengths 10.442, 6.103, 4.970 Å; angles 90.00, 90.00, 90.00 degrees
Fractional coordinates of all 28 atoms:
Mg 0.000 0.000 0.000
Mg 0.000 0.500 0.000
Mg 0.224 0.250 0.493
Mg 0.276 0.750 0.993
Mg 0.500 0.000 0.500
Mg 0.500 0.500 0.500
Mg 0.724 0.250 0.007
Mg 0.776 0.750 0.507
Ge 0.094 0.750 0.436
Ge 0.406 0.250 0.936
Ge 0.594 0.750 0.064
Ge 0.906 0.250 0.564
O 0.060 0.250 0.730
O 0.092 0.750 0.789
O 0.164 0.521 0.267
O 0.164 0.979 0.267
O 0.336 0.021 0.767
O 0.336 0.479 0.767
O 0.408 0.250 0.289
O 0.440 0.750 0.230
O 0.560 0.250 0.770
O 0.592 0.750 0.711
O 0.664 0.521 0.233
O 0.664 0.979 0.233
O 0.836 0.021 0.733
O 0.836 0.479 0.733
O 0.908 0.250 0.211
O 0.940 0.750 0.270



No. 3
Computed X-ray diffraction stick pattern
Compound: Na5Ca4P4O16F
Radiation: Cu Kα (λ = 1.5418 Å)
Structure: a GGA-PBE-relaxed structure
Intensities are scaled so that the largest is 100.

Principal peaks in the range 2θ from 15° to 90°, in order of rising 2θ:
- 15.08 deg, I 27.9
- 23.47 deg, I 56.1
- 23.95 deg, I 31.3
- 31.96 deg, I 100.0
- 32.73 deg, I 74.1
- 35.52 deg, I 74.3
- 39.09 deg, I 65.1
- 41.83 deg, I 28.2
- 45.29 deg, I 24.8
- 48.01 deg, I 44.6

Crystal structure
Cell lengths 8.748, 8.748, 8.748 Å; angles 95.61, 95.61, 143.55 degrees
Fractional coordinates of all 30 atoms:
Na 0.000 0.000 0.000
Na 0.121 0.603 0.706
Na 0.397 0.102 0.518
Na 0.584 0.879 0.482
Na 0.898 0.416 0.294
Ca 0.341 0.408 0.710
Ca 0.369 0.659 0.067
Ca 0.592 0.302 0.933
Ca 0.698 0.631 0.290
P 0.094 0.240 0.354
P 0.260 0.906 0.145
P 0.760 0.115 0.855
P 0.885 0.740 0.646
O 0.029 0.283 0.821
O 0.125 0.404 0.486
O 0.167 0.024 0.758
O 0.183 0.163 0.437
O 0.254 0.817 0.980
O 0.267 0.409 0.242
O 0.360 0.875 0.279
O 0.463 0.208 0.179
O 0.591 0.833 0.857
O 0.596 0.081 0.721
O 0.717 0.537 0.745
O 0.726 0.746 0.563
O 0.792 0.971 0.255
O 0.837 0.274 0.020
O 0.919 0.640 0.514
O 0.976 0.733 0.143
F 0.500 0.500 0.000



No. 4
Computed X-ray diffraction stick pattern
Compound: SrTl2
Radiation: Cu Kα (λ = 1.5418 Å)
Structure: a GGA-PBE-relaxed structure
Intensities are scaled so that the largest is 100.

Principal peaks in the range 2θ from 15° to 90°, in order of rising 2θ:
- 21.06 deg, I 26.5
- 22.33 deg, I 27.1
- 28.97 deg, I 83.5
- 34.39 deg, I 100.0
- 37.69 deg, I 49.8
- 40.68 deg, I 30.4
- 45.57 deg, I 24.4
- 58.35 deg, I 46.0
- 63.79 deg, I 21.9
- 79.93 deg, I 28.1

Crystal structure
Cell lengths 5.215, 5.215, 8.435 Å; angles 90.00, 90.00, 120.00 degrees
Fractional coordinates of all 6 atoms:
Sr 0.000 0.000 0.250
Sr 0.000 0.000 0.750
Tl 0.333 0.667 0.049
Tl 0.333 0.667 0.451
Tl 0.667 0.333 0.549
Tl 0.667 0.333 0.951



No. 5
Computed X-ray diffraction stick pattern
Compound: K5Na3Ta8O24
Radiation: Cu Kα (λ = 1.5418 Å)
Structure: a GGA-PBE-relaxed structure
Intensities are scaled so that the largest is 100.

Principal peaks in the range 2θ from 15° to 90°, in order of rising 2θ:
- 22.14 deg, I 80.6
- 31.51 deg, I 100.0
- 38.85 deg, I 9.1
- 45.16 deg, I 32.1
- 50.85 deg, I 35.5
- 56.11 deg, I 39.8
- 65.78 deg, I 19.4
- 70.34 deg, I 16.9
- 74.77 deg, I 17.2
- 87.62 deg, I 7.9

Crystal structure
Cell lengths 8.031, 8.031, 8.030 Å; angles 90.00, 90.00, 90.00 degrees
Fractional coordinates of all 40 atoms:
K 0.000 0.000 0.000
K 0.000 0.000 0.500
K 0.000 0.500 0.000
K 0.500 0.000 0.000
K 0.500 0.500 0.000
Na 0.000 0.500 0.500
Na 0.500 0.000 0.500
Na 0.500 0.500 0.500
Ta 0.250 0.250 0.251
Ta 0.250 0.250 0.749
Ta 0.250 0.750 0.251
Ta 0.250 0.750 0.749
Ta 0.750 0.250 0.251
Ta 0.750 0.250 0.749
Ta 0.750 0.750 0.251
Ta 0.750 0.750 0.749
O 0.000 0.251 0.251
O 0.000 0.251 0.749
O 0.000 0.749 0.251
O 0.000 0.749 0.749
O 0.250 0.250 0.000
O 0.250 0.500 0.252
O 0.250 0.500 0.748
O 0.250 0.750 0.000
O 0.251 0.000 0.251
O 0.251 0.000 0.749
O 0.251 0.251 0.500
O 0.251 0.749 0.500
O 0.500 0.250 0.252
O 0.500 0.250 0.748
O 0.500 0.750 0.252
O 0.500 0.750 0.748
O 0.749 0.000 0.251
O 0.749 0.000 0.749
O 0.749 0.251 0.500
O 0.749 0.749 0.500
O 0.750 0.250 0.000
O 0.750 0.500 0.252
O 0.750 0.500 0.748
O 0.750 0.750 0.000



No. 6
Computed X-ray diffraction stick pattern
Compound: Ni3Pt
Radiation: Cu Kα (λ = 1.5418 Å)
Structure: a GGA-PBE-relaxed structure
Intensities are scaled so that the largest is 100.

Principal peaks in the range 2θ from 15° to 90°, in order of rising 2θ:
- 24.40 deg, I 34.6
- 34.77 deg, I 28.6
- 42.94 deg, I 100.0
- 50.00 deg, I 47.6
- 56.39 deg, I 15.4
- 62.34 deg, I 11.6
- 73.40 deg, I 29.2
- 78.68 deg, I 7.8
- 83.85 deg, I 5.4
- 88.98 deg, I 36.0

Crystal structure
Cell lengths 3.649, 3.649, 3.649 Å; angles 90.00, 90.00, 90.00 degrees
Fractional coordinates of all 4 atoms:
Ni 0.000 0.000 0.500
Ni 0.000 0.500 0.000
Ni 0.500 0.000 0.000
Pt 0.500 0.500 0.500